For Li3Fe5O9, a DFT-relaxed cell (PBE+U, Alexandria) gives the theoretical powder XRD pattern in this record (Cu Kα X-rays).
Lines closer than 0.1° are merged.

The 6 most intense peaks (2θ from 10° to 90°), in order of rising 2θ:
| (hkl) | 2θ (°) | I (rel.) |
| --- | --- | --- |
| 1 1 0 | 10.2 | 889 |
| 0 2 1 | 22.9 | 1000 |
| 4 0 0 | 26.7 | 911 |
| 4 2 0 | 31.1 | 877 |
| 0 0 2 | 33.6 | 701 |
| 4 2 -1 | 35.3 | 610 |

Structure:
```
data_Li3Fe5O9
_cell_length_a 13.3450
_cell_length_b 11.3273
_cell_length_c 5.3361
_cell_angle_alpha 90.00
_cell_angle_beta 90.73
_cell_angle_gamma 90.00
_space_group_name_H-M_alt 'C 1 2/c 1'
_space_group_IT_number 15
_space_group_name_Hall '-C 2yc'
loop_
_atom_site_label
_atom_site_fract_x
_atom_site_fract_y
_atom_site_fract_z
Li1 0.0000 0.0939 0.2500
Li2 0.2401 0.0731 0.2957
Fe1 0.0000 0.4350 0.7500
Fe2 0.1171 0.1678 0.7995
Fe3 0.1389 0.3379 0.2909
O1 0.0000 0.0758 0.7500
O2 0.0754 0.4437 0.0734
O3 0.0986 0.3166 0.6333
O4 0.1330 0.1813 0.1565
O5 0.2308 0.0914 0.6660
```